[1]
Starting from a GGA-PBE-relaxed structure, the X-ray powder pattern of YMn2S4 was simulated for copper Kα.

Crystal structure
```
YMn2S4
1.0
6.3665 -3.8657 0.0000
6.3665 3.8657 0.0000
-4.1252 0.0000 5.9932
Y Mn S
2 4 8
Cartesian
3.1833 1.9329 0.0000
3.1833 -1.9329 0.0000
0.0000 0.0000 0.0000
-2.0626 0.0000 2.9966
1.1207 1.9329 2.9966
1.1207 -1.9329 2.9966
3.1731 2.2562 4.4737
5.4347 2.2562 1.5194
0.0352 0.0000 4.3560
2.2058 0.0000 1.6150
6.4021 0.0000 4.3782
8.5726 0.0000 1.6372
3.1731 -2.2562 4.4737
5.4347 -2.2562 1.5194
```

The 8 most intense peaks (10° ≤ 2θ ≤ 90°), low angle first:
| Position (°2θ) | intensity |
| --- | --- |
| 14.23 | 47 |
| 16.91 | 22 |
| 33.84 | 100 |
| 34.20 | 50 |
| 47.01 | 16 |
| 48.77 | 32 |
| 48.97 | 32 |
| 50.15 | 16 |

[2]
Starting from a GGA-PBE-relaxed structure, the X-ray powder pattern of NaNb6Se8 was simulated for copper Kα.

Crystal structure
```
NaNb6Se8
1.0
10.0999 0.0000 0.0000
-5.0500 8.7468 0.0000
0.0000 0.0000 3.5282
Na Nb Se
1 6 8
Cartesian
0.0000 0.0000 0.0000
-2.0521 5.4096 2.6470
1.3911 4.2648 2.6470
4.3890 0.9276 0.8812
0.6610 7.8191 2.6470
3.6588 4.4820 0.8812
7.1021 3.3372 0.8812
-1.1083 2.9538 2.6437
-1.9377 8.2297 2.6437
0.0000 5.8312 0.8820
2.0040 2.4367 0.8845
3.0460 6.3101 2.6437
5.0500 2.9156 2.6462
6.9877 0.5171 0.8845
6.1583 5.7929 0.8845
```

The 8 most intense peaks (10° ≤ 2θ ≤ 90°), low angle first:
| Position (°2θ) | intensity |
| --- | --- |
| 10.11 | 91 |
| 30.66 | 20 |
| 32.61 | 36 |
| 37.06 | 55 |
| 37.27 | 100 |
| 44.10 | 38 |
| 47.64 | 20 |
| 81.77 | 28 |

[3]
Starting from a GGA-PBE-relaxed structure, the X-ray powder pattern of CePNO4F2 was simulated for copper Kα.

Crystal structure
```
CePNO4F2
1.0
6.7451 0.0000 0.0000
0.0000 5.8926 0.0000
-2.9082 0.0000 6.7878
Ce P N O F
2 2 2 8 4
Cartesian
0.2613 1.4732 1.2514
3.5755 4.4195 5.5365
0.2512 4.4195 3.6624
3.5856 1.4732 3.1254
0.5707 1.4732 5.5665
3.2661 4.4195 1.2213
-1.1551 4.4195 4.2805
0.4168 3.1570 2.7858
0.4168 5.6820 2.7858
1.3114 4.4195 4.7846
2.5254 1.4732 2.0032
3.4201 0.2106 4.0020
3.4201 2.7357 4.0020
4.9919 1.4732 2.5073
-1.6913 0.0044 6.5600
-1.6913 2.9419 6.5600
5.5281 2.9507 0.2279
5.5281 5.8882 0.2279
```

The 8 most intense peaks (10° ≤ 2θ ≤ 90°), low angle first:
| Position (°2θ) | intensity |
| --- | --- |
| 14.29 | 52 |
| 15.09 | 72 |
| 19.95 | 100 |
| 26.49 | 30 |
| 27.53 | 69 |
| 28.82 | 61 |
| 46.81 | 27 |
| 48.21 | 23 |

[4]
Starting from a GGA-PBE-relaxed structure, the X-ray powder pattern of UMo was simulated for copper Kα.

Crystal structure
```
UMo
1.0
5.2376 0.0000 0.0000
0.0000 2.9164 0.0000
-3.7033 0.0000 9.6881
U Mo
4 4
Cartesian
-1.3537 0.6123 3.5938
-3.2053 0.8459 8.4378
4.7396 2.0705 1.2503
2.8880 2.3041 6.0944
0.2870 1.9104 6.0607
2.1387 2.4642 1.2166
-0.6043 0.4522 8.4715
1.2473 1.0060 3.6274
```

The 8 most intense peaks (10° ≤ 2θ ≤ 90°), low angle first:
| Position (°2θ) | intensity |
| --- | --- |
| 18.13 | 46 |
| 35.94 | 100 |
| 36.74 | 55 |
| 37.12 | 53 |
| 37.27 | 19 |
| 42.10 | 37 |
| 46.95 | 47 |
| 57.36 | 26 |

[5]
Starting from a GGA-PBE-relaxed structure, the X-ray powder pattern of CaTm2O4 was simulated for copper Kα.

Crystal structure
```
CaTm2O4
1.0
9.8507 0.0000 0.0000
0.0000 3.3278 0.0000
0.0000 0.0000 11.6628
Ca Tm O
4 8 16
Cartesian
2.4451 0.8319 1.7357
2.4803 2.4958 7.5671
7.3704 0.8319 4.0957
7.4056 2.4958 9.9271
0.7460 0.8319 4.5022
0.7826 0.8319 10.3761
4.1427 2.4958 4.5447
4.1794 2.4958 10.3336
5.6713 0.8319 1.3292
5.7080 0.8319 7.1181
9.0681 2.4958 1.2867
9.1047 2.4958 7.1606
0.2041 2.4958 9.1313
0.7750 0.8319 6.7411
1.2762 2.4958 0.2741
2.0699 2.4958 3.7034
2.8554 0.8319 9.5348
3.6491 0.8319 6.1055
4.1503 2.4958 0.9097
4.7212 0.8319 3.2999
5.1295 2.4958 8.3629
5.7004 0.8319 10.7531
6.2016 2.4958 5.5573
6.9953 2.4958 2.1280
7.7808 0.8319 7.9594
8.5745 0.8319 11.3887
9.0757 2.4958 4.9217
9.6466 0.8319 2.5315
```

The 8 most intense peaks (10° ≤ 2θ ≤ 90°), low angle first:
| Position (°2θ) | intensity |
| --- | --- |
| 17.67 | 39 |
| 18.01 | 33 |
| 30.66 | 43 |
| 31.26 | 87 |
| 32.28 | 100 |
| 32.47 | 46 |
| 45.26 | 44 |
| 45.84 | 28 |

[6]
Starting from a GGA-PBE-relaxed structure, the X-ray powder pattern of TmIn was simulated for copper Kα.

Crystal structure
```
TmIn
1.0
3.7227 0.0000 0.0000
0.0000 3.7227 0.0000
0.0000 0.0000 3.7227
Tm In
1 1
Cartesian
0.0000 0.0000 0.0000
1.8613 1.8613 1.8613
```

The 8 most intense peaks (10° ≤ 2θ ≤ 90°), low angle first:
| Position (°2θ) | intensity |
| --- | --- |
| 23.90 | 4 |
| 34.06 | 100 |
| 42.04 | 1 |
| 48.93 | 18 |
| 55.17 | 2 |
| 60.96 | 37 |
| 71.71 | 11 |
| 81.82 | 16 |

[7]
Starting from a GGA-PBE-relaxed structure, the X-ray powder pattern of HoBi2ClO4 was simulated for copper Kα.

Crystal structure
```
HoBi2ClO4
1.0
3.8887 0.0000 0.0000
0.0000 3.8887 0.0000
0.0000 0.0000 9.0502
Ho Bi Cl O
1 2 1 4
Cartesian
0.0000 0.0000 0.0000
1.9444 1.9444 2.5091
1.9444 1.9444 6.5412
0.0000 0.0000 4.5251
0.0000 1.9444 1.3769
0.0000 1.9444 7.6733
1.9444 0.0000 1.3769
1.9444 0.0000 7.6733
```

The 8 most intense peaks (10° ≤ 2θ ≤ 90°), low angle first:
| Position (°2θ) | intensity |
| --- | --- |
| 22.87 | 13 |
| 24.92 | 18 |
| 30.31 | 100 |
| 32.56 | 35 |
| 44.59 | 16 |
| 46.72 | 20 |
| 52.37 | 20 |
| 56.71 | 35 |

[8]
Starting from a GGA-PBE-relaxed structure, the X-ray powder pattern of Nb3Ge was simulated for copper Kα.

Crystal structure
```
Nb3Ge
1.0
10.3591 0.0000 0.0000
0.0000 10.3591 0.0000
0.0000 0.0000 5.3063
Nb Ge
24 8
Cartesian
0.3718 5.8416 1.2512
0.6620 9.9874 3.9043
1.0481 2.3658 0.1550
1.5821 6.9067 3.7894
1.7271 8.7771 1.1363
2.3658 4.1314 2.4981
2.8138 1.0481 2.4981
3.4525 6.7616 1.1363
3.5975 8.6321 3.7894
4.1314 2.8138 0.1550
4.5175 5.5513 3.9043
4.8078 9.6971 1.2512
5.5513 0.6620 4.0551
5.8416 4.8078 1.4020
6.2277 7.5454 5.1512
6.7616 1.7271 1.5168
6.9067 3.5975 4.1700
7.5454 9.3110 2.8082
7.9933 6.2277 2.8082
8.6321 1.5821 4.1700
8.7771 3.4525 1.5168
9.3110 7.9933 5.1512
9.6971 0.3718 1.4020
9.9874 4.5175 4.0551
0.4800 2.2516 2.8269
2.2516 4.6996 5.1325
2.9279 0.4800 5.1325
4.6996 2.9279 2.8269
5.6596 7.4312 2.4793
7.4312 9.8791 0.1738
8.1075 5.6596 0.1738
9.8791 8.1075 2.4793
```

The 8 most intense peaks (10° ≤ 2θ ≤ 90°), low angle first:
| Position (°2θ) | intensity |
| --- | --- |
| 35.53 | 100 |
| 36.00 | 72 |
| 36.81 | 59 |
| 38.88 | 49 |
| 39.69 | 86 |
| 42.05 | 53 |
| 43.91 | 31 |
| 44.60 | 39 |

Repeat the second record exactly.
Starting from a GGA-PBE-relaxed structure, the X-ray powder pattern of NaNb6Se8 was simulated for copper Kα.

Crystal structure
```
NaNb6Se8
1.0
10.0999 0.0000 0.0000
-5.0500 8.7468 0.0000
0.0000 0.0000 3.5282
Na Nb Se
1 6 8
Cartesian
0.0000 0.0000 0.0000
-2.0521 5.4096 2.6470
1.3911 4.2648 2.6470
4.3890 0.9276 0.8812
0.6610 7.8191 2.6470
3.6588 4.4820 0.8812
7.1021 3.3372 0.8812
-1.1083 2.9538 2.6437
-1.9377 8.2297 2.6437
0.0000 5.8312 0.8820
2.0040 2.4367 0.8845
3.0460 6.3101 2.6437
5.0500 2.9156 2.6462
6.9877 0.5171 0.8845
6.1583 5.7929 0.8845
```

The 8 most intense peaks (10° ≤ 2θ ≤ 90°), low angle first:
| Position (°2θ) | intensity |
| --- | --- |
| 10.11 | 91 |
| 30.66 | 20 |
| 32.61 | 36 |
| 37.06 | 55 |
| 37.27 | 100 |
| 44.10 | 38 |
| 47.64 | 20 |
| 81.77 | 28 |